1.
This entry pairs a crystal structure of KMg3AlSi3O10F2 with its simulated XRD peak list. Radiation: a wavelength of 1.5418 Å. Structure: the GGA-PBE geometry in Alexandria.
Intensities are scaled so that the largest is 100.

The 8 most intense peaks (10 to 90 degrees two-theta), sorted by position:
| 2theta | I/Imax |
| --- | --- |
| 23.97 | 40.4 |
| 25.84 | 100.0 |
| 27.86 | 51.2 |
| 30.06 | 33.0 |
| 33.98 | 73.4 |
| 36.53 | 31.0 |
| 40.94 | 29.7 |
| 59.83 | 47.7 |

Unit cell a=5.353 b=5.355 c=10.483 alpha=80.19 beta=85.28 gamma=60.04
Positions (direct):
K (0.000, 0.000, 0.000)
Mg (0.335, 0.817, 0.535)
Mg (0.658, 0.158, 0.536)
Mg (0.999, 0.495, 0.535)
Al (0.332, 0.401, 0.799)
Si (0.333, 0.244, 0.264)
Si (0.665, 0.733, 0.804)
Si (0.667, 0.579, 0.264)
O (0.000, 0.435, 0.206)
O (0.332, 0.458, 0.629)
O (0.333, 0.189, 0.421)
O (0.440, 0.619, 0.859)
O (0.495, 0.931, 0.205)
O (0.504, 0.427, 0.207)
O (0.571, 0.035, 0.858)
O (0.664, 0.787, 0.641)
O (0.668, 0.530, 0.421)
O (0.986, 0.488, 0.858)
F (0.989, 0.864, 0.433)
F (0.998, 0.129, 0.622)

2.
This entry pairs a crystal structure of Tb4Pm11Sm9 with its simulated XRD peak list. Radiation: a wavelength of 1.5418 Å. Structure: the GGA-PBE geometry in Alexandria.
Intensities are scaled so that the largest is 100.

The 8 most intense peaks (10 to 90 degrees two-theta), sorted by position:
| 2theta | I/Imax |
| --- | --- |
| 29.39 | 100.0 |
| 29.73 | 29.7 |
| 30.66 | 30.8 |
| 31.39 | 37.7 |
| 31.84 | 85.5 |
| 32.06 | 85.4 |
| 49.36 | 22.8 |
| 58.49 | 28.7 |

Unit cell a=15.550 b=15.550 c=3.693 alpha=90.00 beta=90.00 gamma=113.49
Positions (direct):
Tb (0.056, 0.259, 0.000)
Tb (0.259, 0.056, 0.000)
Tb (0.741, 0.944, 0.000)
Tb (0.944, 0.741, 0.000)
Pm (0.096, 0.458, 0.500)
Pm (0.131, 0.869, 0.500)
Pm (0.210, 0.210, 0.500)
Pm (0.338, 0.662, 0.500)
Pm (0.458, 0.096, 0.500)
Pm (0.500, 0.500, 0.500)
Pm (0.542, 0.904, 0.500)
Pm (0.662, 0.338, 0.500)
Pm (0.790, 0.790, 0.500)
Pm (0.869, 0.131, 0.500)
Pm (0.904, 0.542, 0.500)
Sm (0.000, 0.000, 0.000)
Sm (0.129, 0.665, 0.000)
Sm (0.287, 0.435, 0.000)
Sm (0.335, 0.871, 0.000)
Sm (0.435, 0.287, 0.000)
Sm (0.565, 0.713, 0.000)
Sm (0.665, 0.129, 0.000)
Sm (0.713, 0.565, 0.000)
Sm (0.871, 0.335, 0.000)

3.
This entry pairs a crystal structure of Ba2SI2 with its simulated XRD peak list. Radiation: a wavelength of 1.5418 Å. Structure: the GGA-PBE geometry in Alexandria.
Intensities are scaled so that the largest is 100.

The 8 most intense peaks (10 to 90 degrees two-theta), sorted by position:
| 2theta | I/Imax |
| --- | --- |
| 20.67 | 40.8 |
| 22.46 | 69.5 |
| 24.51 | 100.0 |
| 26.82 | 42.0 |
| 29.87 | 95.4 |
| 30.74 | 95.1 |
| 34.81 | 36.7 |
| 35.96 | 47.3 |

Unit cell a=10.056 b=10.056 c=9.134 alpha=90.00 beta=90.00 gamma=151.24
Positions (direct):
Ba (0.045, 0.955, 0.500)
Ba (0.332, 0.668, 0.393)
Ba (0.668, 0.332, 0.893)
Ba (0.955, 0.045, 0.000)
S (0.090, 0.910, 0.824)
S (0.910, 0.090, 0.324)
I (0.300, 0.700, 0.012)
I (0.443, 0.557, 0.692)
I (0.557, 0.443, 0.192)
I (0.700, 0.300, 0.512)

4.
This entry pairs a crystal structure of B2PPtRhC with its simulated XRD peak list. Radiation: a wavelength of 1.5418 Å. Structure: the GGA-PBE geometry in Alexandria.
Intensities are scaled so that the largest is 100.

The 8 most intense peaks (10 to 90 degrees two-theta), sorted by position:
| 2theta | I/Imax |
| --- | --- |
| 14.40 | 72.3 |
| 24.23 | 100.0 |
| 29.04 | 48.9 |
| 32.46 | 69.0 |
| 35.66 | 43.0 |
| 38.40 | 48.2 |
| 38.51 | 46.9 |
| 48.35 | 52.1 |

Unit cell a=2.824 b=4.070 c=6.395 alpha=104.79 beta=90.25 gamma=110.24
Positions (direct):
B (0.000, 0.000, 0.000)
B (0.328, 0.651, 0.232)
P (0.421, 0.843, 0.569)
Pt (0.164, 0.334, 0.773)
Rh (0.674, 0.342, 0.359)
C (0.431, 0.861, 0.056)

5.
This entry pairs a crystal structure of Hf6ReSn with its simulated XRD peak list. Radiation: a wavelength of 1.5418 Å. Structure: the GGA-PBE geometry in Alexandria.
Intensities are scaled so that the largest is 100.

The 8 most intense peaks (10 to 90 degrees two-theta), sorted by position:
| 2theta | I/Imax |
| --- | --- |
| 32.36 | 36.5 |
| 35.36 | 100.0 |
| 37.22 | 48.0 |
| 39.48 | 81.8 |
| 42.01 | 24.2 |
| 60.65 | 28.9 |
| 66.19 | 13.4 |
| 67.74 | 15.3 |

Unit cell a=5.553 b=5.553 c=5.553 alpha=93.34 beta=93.34 gamma=93.34
Positions (direct):
Hf (0.016, 0.555, 0.761)
Hf (0.239, 0.984, 0.445)
Hf (0.445, 0.239, 0.984)
Hf (0.555, 0.761, 0.016)
Hf (0.761, 0.016, 0.555)
Hf (0.984, 0.445, 0.239)
Re (0.000, 0.000, 0.000)
Sn (0.500, 0.500, 0.500)

6.
This entry pairs a crystal structure of CsVS3 with its simulated XRD peak list. Radiation: a wavelength of 1.5418 Å. Structure: the GGA-PBE geometry in Alexandria.
Intensities are scaled so that the largest is 100.

The 8 most intense peaks (10 to 90 degrees two-theta), sorted by position:
| 2theta | I/Imax |
| --- | --- |
| 19.21 | 89.6 |
| 19.84 | 100.0 |
| 22.79 | 71.7 |
| 23.33 | 95.2 |
| 23.91 | 95.8 |
| 28.45 | 88.4 |
| 35.25 | 66.4 |
| 38.89 | 63.1 |

Unit cell a=6.309 b=7.447 c=7.674 alpha=62.36 beta=84.36 gamma=89.00
Positions (direct):
Cs (0.000, 0.000, 0.000)
Cs (0.495, 0.744, 0.624)
V (0.510, 0.447, 0.254)
V (0.961, 0.272, 0.396)
S (0.008, 0.960, 0.481)
S (0.208, 0.403, 0.495)
S (0.375, 0.298, 0.117)
S (0.496, 0.765, 0.088)
S (0.666, 0.283, 0.564)
S (0.871, 0.445, 0.100)